TbMnTeO6: calculated powder X-ray diffraction pattern (Cu Kα), based on DFT lattice parameters and positions (PBE+U).
Peak positions follow from Bragg's law for the DFT cell and can differ from measured ones.

Main lines, in order of falling intensity (2θ from 5° to 70°):
2theta  I/Imax  h k l
27.69  100.0  1 0 2
32.24  72.3  1 1 0
38.49  60.3  1 1 2
53.61  57.0  1 1 4
20.47  45.4  0 0 2
43.01  29.8  2 0 2
54.76  28.8  2 1 2
57.49  26.4  3 0 0
18.45  25.8  1 0 0
61.69  14.0  3 0 2
67.47  9.3  2 2 0
41.63  8.3  0 0 4

Cell and atoms:
```
TbMnTeO6
1.0
5.5527 0.0000 0.0000
-2.7763 4.8088 0.0000
0.0000 0.0000 8.6784
Tb Mn Te O
2 2 2 12
Direct
0.3333 0.6667 0.2500
0.6667 0.3333 0.7500
0.0000 0.0000 0.0000
0.0000 0.0000 0.5000
0.3333 0.6667 0.7500
0.6667 0.3333 0.2500
0.0455 0.3641 0.6262
0.0455 0.6814 0.8738
0.3186 0.3641 0.8738
0.3186 0.9545 0.6262
0.3641 0.0455 0.1262
0.3641 0.3186 0.3738
0.6359 0.6814 0.6262
0.6359 0.9545 0.8738
0.6814 0.0455 0.3738
0.6814 0.6359 0.1262
0.9545 0.3186 0.1262
0.9545 0.6359 0.3738
```